# 1
The following is a calculated X-ray diffraction stick pattern of TbCrO3. It was derived from a cell relaxed with PBE+U, using CuKα.
Kinematic intensities with the Lorentz-polarization factor, no thermal factor.

Principal peaks in the range 2θ from 10° to 90°, most intense first:
| 2θ/deg | I/Imax | h k l |
| --- | --- | --- |
| 32.89 | 100.0 | 1 2 1 |
| 53.29 | 24.3 | 3 1 1 |
| 33.65 | 24.0 | 0 0 2 |
| 23.03 | 22.5 | 1 0 1 |
| 25.82 | 21.6 | 1 1 1 |
| 59.70 | 21.1 | 1 2 3 |
| 31.92 | 18.1 | 2 0 0 |
| 47.06 | 17.3 | 2 0 2 |
| 23.15 | 15.7 | 0 2 0 |
| 47.33 | 14.2 | 0 4 0 |

Cell and atoms:
```
data_TbCrO3
_cell_length_a 5.607
_cell_length_b 7.683
_cell_length_c 5.326
_cell_angle_alpha 90.00
_cell_angle_beta 90.00
_cell_angle_gamma 90.00
_symmetry_space_group_name_H-M 'P n m a'
_symmetry_Int_Tables_number 62
loop_
_symmetry_equiv_pos_as_xyz
'x,y,z'
'-x,-y,-z'
'-x+1/2,-y,z+1/2'
'x+1/2,y,-z+1/2'
'x+1/2,-y+1/2,-z+1/2'
'-x+1/2,y+1/2,z+1/2'
'-x,y+1/2,-z'
'x,-y+1/2,z'
loop_
_atom_site_label
_atom_site_fract_x
_atom_site_fract_y
_atom_site_fract_z
Tb1 0.066 0.250 0.019
Cr1 0.000 0.000 0.500
O1 0.040 0.750 0.389
O2 0.199 0.557 0.805
```

---

# 2
The following is a calculated X-ray diffraction stick pattern of CrTcO3. It was derived from a cell relaxed with PBE+U, using CuKα.
Kinematic intensities with the Lorentz-polarization factor, no thermal factor.

Principal peaks in the range 2θ from 10° to 90°, most intense first:
| 2θ/deg | I/Imax | h k l |
| --- | --- | --- |
| 32.53 | 100.0 | 1 1 0 |
| 46.67 | 37.0 | 2 0 0 |
| 58.04 | 36.7 | 2 1 1 |
| 22.85 | 26.8 | 1 0 0 |
| 68.13 | 20.8 | 2 2 0 |
| 77.55 | 15.3 | 3 1 0 |
| 52.57 | 10.6 | 2 1 0 |
| 86.64 | 6.8 | 2 2 2 |
| 72.90 | 4.8 | 3 0 0 |

Cell and atoms:
```
data_CrTcO3
_cell_length_a 3.893
_cell_length_b 3.893
_cell_length_c 3.893
_cell_angle_alpha 90.00
_cell_angle_beta 90.00
_cell_angle_gamma 90.00
_symmetry_space_group_name_H-M 'P m -3 m'
_symmetry_Int_Tables_number 221
_symmetry_space_group_name_Hall '-P 4 2 3'
loop_
_atom_site_label
_atom_site_fract_x
_atom_site_fract_y
_atom_site_fract_z
Cr1 0.000 0.000 0.000
Tc1 0.500 0.500 0.500
O1 0.000 0.500 0.500
```

---

What did the first record say?
The following is a calculated X-ray diffraction stick pattern of TbCrO3. It was derived from a cell relaxed with PBE+U, using CuKα.
Kinematic intensities with the Lorentz-polarization factor, no thermal factor.

Principal peaks in the range 2θ from 10° to 90°, most intense first:
| 2θ/deg | I/Imax | h k l |
| --- | --- | --- |
| 32.89 | 100.0 | 1 2 1 |
| 53.29 | 24.3 | 3 1 1 |
| 33.65 | 24.0 | 0 0 2 |
| 23.03 | 22.5 | 1 0 1 |
| 25.82 | 21.6 | 1 1 1 |
| 59.70 | 21.1 | 1 2 3 |
| 31.92 | 18.1 | 2 0 0 |
| 47.06 | 17.3 | 2 0 2 |
| 23.15 | 15.7 | 0 2 0 |
| 47.33 | 14.2 | 0 4 0 |

Cell and atoms:
```
data_TbCrO3
_cell_length_a 5.607
_cell_length_b 7.683
_cell_length_c 5.326
_cell_angle_alpha 90.00
_cell_angle_beta 90.00
_cell_angle_gamma 90.00
_symmetry_space_group_name_H-M 'P n m a'
_symmetry_Int_Tables_number 62
loop_
_symmetry_equiv_pos_as_xyz
'x,y,z'
'-x,-y,-z'
'-x+1/2,-y,z+1/2'
'x+1/2,y,-z+1/2'
'x+1/2,-y+1/2,-z+1/2'
'-x+1/2,y+1/2,z+1/2'
'-x,y+1/2,-z'
'x,-y+1/2,z'
loop_
_atom_site_label
_atom_site_fract_x
_atom_site_fract_y
_atom_site_fract_z
Tb1 0.066 0.250 0.019
Cr1 0.000 0.000 0.500
O1 0.040 0.750 0.389
O2 0.199 0.557 0.805
```

---

> Number 1 is which compound?

TbCrO3